(1)
This entry pairs a crystal structure of MnRhN3 with its theoretical X-ray powder pattern. Radiation: Cu Ka. Structure: a DFT-relaxed cell (GGA-PBE, Alexandria).
Neutral-atom scattering factors, no anomalous dispersion.

Atomic structure:
Unit cell a=3.642 b=3.642 c=3.642 alpha=90.00 beta=90.00 gamma=90.00
Positions (direct):
Mn1 0.000 0.000 0.000
Rh1 0.500 0.500 0.500
N1 0.000 0.000 0.500
N2 0.000 0.500 0.000
N3 0.500 0.000 0.000

Most intense lines, 2θ from 5° to 70°, sorted by position:
| Position (°2θ) | I_rel |
| --- | --- |
| 24.44 | 7 |
| 34.84 | 100 |
| 43.02 | 13 |
| 50.09 | 30 |
| 56.50 | 4 |
| 62.46 | 36 |

(2)
This entry pairs a crystal structure of DyNi2Ge2Ir with its theoretical X-ray powder pattern. Radiation: Cu Ka. Structure: a DFT-relaxed cell (GGA-PBE, Alexandria).
Neutral-atom scattering factors, no anomalous dispersion.

Atomic structure:
Unit cell a=4.684 b=4.684 c=5.300 alpha=90.00 beta=90.00 gamma=90.00
Positions (direct):
Dy1 0.000 0.000 0.000
Ni1 0.500 0.500 0.246
Ni2 0.500 0.500 0.754
Ge1 0.000 0.500 0.500
Ge2 0.500 0.000 0.500
Ir1 0.000 0.000 0.500

Most intense lines, 2θ from 5° to 70°, sorted by position:
| Position (°2θ) | I_rel |
| --- | --- |
| 16.73 | 28 |
| 18.95 | 62 |
| 26.92 | 63 |
| 38.44 | 90 |
| 39.05 | 100 |
| 52.12 | 26 |
| 55.49 | 31 |
| 55.95 | 69 |

(3)
This entry pairs a crystal structure of Ca3Zn4Ni4 with its theoretical X-ray powder pattern. Radiation: Cu Ka. Structure: a DFT-relaxed cell (GGA-PBE, Alexandria).
Neutral-atom scattering factors, no anomalous dispersion.

Atomic structure:
Unit cell a=6.427 b=6.427 c=6.427 alpha=109.47 beta=109.47 gamma=109.47
Positions (direct):
Ca1 0.000 0.500 0.500
Ca2 0.500 0.000 0.500
Ca3 0.500 0.500 0.000
Zn1 0.000 0.000 0.600
Zn2 0.000 0.600 0.000
Zn3 0.400 0.400 0.400
Zn4 0.600 0.000 0.000
Ni1 0.000 0.000 0.234
Ni2 0.000 0.234 0.000
Ni3 0.234 0.000 0.000
Ni4 0.766 0.766 0.766

Most intense lines, 2θ from 5° to 70°, sorted by position:
| Position (°2θ) | I_rel |
| --- | --- |
| 16.90 | 94 |
| 34.17 | 100 |
| 38.36 | 75 |
| 42.18 | 15 |
| 45.75 | 94 |
| 52.30 | 74 |
| 58.32 | 18 |
| 61.18 | 18 |